[1]
This entry pairs a crystal structure of Y2HO3 with its simulated powder X-ray diffraction pattern. Radiation: Cu Kα (weighted mean of Kα1 and Kα2). Structure: a crystal structure in Alexandria, relaxed with GGA-PBE.
Intensities are scaled so that the largest is 100.

The 10 most intense peaks (2θ = 10–90°), sorted by position:
Position (°2θ), I_rel
27.7, 58.5
28.2, 29.4
29.8, 19.6
31.0, 100.0
34.4, 37.7
34.6, 38.9
41.1, 23.5
44.4, 25.4
49.1, 19.8
59.1, 26.4

Crystal structure
abc: 3.377 9.132 9.110
angles: 90.00 90.50 90.00
Space group Pc (No. 7)
Symmetry-distinct sites (fractional):
Y: 0.000 0.062 0.000 (multiplicity 2)
Y: 0.459 0.269 0.691 (multiplicity 2)
Y: 0.487 0.418 0.023 (multiplicity 2)
Y: 0.970 0.284 0.330 (multiplicity 2)
H: 0.354 0.037 0.230 (multiplicity 2)
H: 0.989 0.359 0.124 (multiplicity 2)
O: 0.160 0.045 0.751 (multiplicity 2)
O: 0.478 0.449 0.300 (multiplicity 2)
O: 0.504 0.171 0.129 (multiplicity 2)
O: 0.522 0.128 0.475 (multiplicity 2)
O: 0.946 0.284 0.873 (multiplicity 2)
O: 0.978 0.384 0.561 (multiplicity 2)



[2]
This entry pairs a crystal structure of Zn3HO3 with its simulated powder X-ray diffraction pattern. Radiation: Cu Kα (weighted mean of Kα1 and Kα2). Structure: a crystal structure in Alexandria, relaxed with GGA-PBE.
Intensities are scaled so that the largest is 100.

The 10 most intense peaks (2θ = 10–90°), sorted by position:
Position (°2θ), I_rel
22.2, 100.0
31.5, 21.7
35.4, 94.0
38.9, 47.4
50.9, 19.3
56.2, 42.5
58.7, 22.6
61.1, 21.8
65.8, 18.9
77.0, 20.2

Crystal structure
abc: 5.674 5.674 5.674
angles: 90.00 90.00 90.00
Space group Pm-3n (No. 223)
Symmetry-distinct sites (fractional):
Zn: 0.000 0.250 0.500 (multiplicity 6)
H: 0.000 0.000 0.000 (multiplicity 2)
O: 0.000 0.500 0.250 (multiplicity 6)



[3]
This entry pairs a crystal structure of ZnH2O with its simulated powder X-ray diffraction pattern. Radiation: Cu Kα (weighted mean of Kα1 and Kα2). Structure: a crystal structure in Alexandria, relaxed with GGA-PBE.
Intensities are scaled so that the largest is 100.

The 10 most intense peaks (2θ = 10–90°), sorted by position:
Position (°2θ), I_rel
18.4, 100.0
32.0, 21.0
32.2, 21.1
32.3, 21.1
33.8, 20.9
37.2, 10.6
39.9, 15.3
40.5, 14.7
40.8, 14.5
56.1, 11.6

Crystal structure
abc: 3.270 3.277 5.158
angles: 72.79 71.83 60.16
Space group P1 (No. 1)
Symmetry-distinct sites (fractional):
Zn: 0.000 0.000 0.000 (multiplicity 1)
H: 0.113 0.084 0.676 (multiplicity 1)
H: 0.204 0.216 0.379 (multiplicity 1)
O: 0.274 0.283 0.171 (multiplicity 1)



- Number 3 is which compound?
  ZnH2O